[1]
The following is a computed powder diffractogram of Er3CdIr. It was derived from a cell relaxed with PBE, using Cu Kα X-rays.
Neutral-atom scattering factors, no anomalous dispersion.

Most intense lines, 2θ from 10° to 90°, low angle first:
- 2θ 12.29, I 52
- 2θ 25.89, I 54
- 2θ 27.39, I 38
- 2θ 30.78, I 98
- 2θ 32.65, I 43
- 2θ 33.82, I 74
- 2θ 35.84, I 71
- 2θ 38.41, I 100
- 2θ 46.36, I 41
- 2θ 54.87, I 41

Structure:
a b c (Å): 8.7736 8.7736 3.9175
angles (deg): 90.00 90.00 110.30
Fractional coordinates of all 10 atoms:
Er1 0.1789 0.4277 0.5000
Er2 0.1803 0.8197 0.0000
Er3 0.4277 0.1789 0.5000
Er4 0.5723 0.8211 0.5000
Er5 0.8197 0.1803 0.0000
Er6 0.8211 0.5723 0.5000
Cd1 0.0000 0.0000 0.5000
Cd2 0.5000 0.5000 0.0000
Ir1 0.0000 0.5000 0.0000
Ir2 0.5000 0.0000 0.0000


[2]
The following is a computed powder diffractogram of Er2CdIrO8. It was derived from a cell relaxed with PBE, using Cu Kα X-rays.
Neutral-atom scattering factors, no anomalous dispersion.

Most intense lines, 2θ from 10° to 90°, low angle first:
- 2θ 25.21, I 54
- 2θ 26.24, I 47
- 2θ 31.47, I 100
- 2θ 36.71, I 27
- 2θ 48.52, I 37
- 2θ 49.70, I 34
- 2θ 58.98, I 19
- 2θ 60.50, I 9
- 2θ 62.86, I 20
- 2θ 65.68, I 12

Structure:
a b c (Å): 4.8996 4.8996 6.9846
angles (deg): 90.00 90.00 92.25
Fractional coordinates of all 12 atoms:
Er1 0.0000 0.0000 0.2458
Er2 0.0000 0.0000 0.7542
Cd1 0.5000 0.5000 0.0000
Ir1 0.5000 0.5000 0.5000
O1 0.1953 0.1953 0.0000
O2 0.2174 0.2174 0.5000
O3 0.3143 0.6857 0.3050
O4 0.3143 0.6857 0.6950
O5 0.6857 0.3143 0.3050
O6 0.6857 0.3143 0.6950
O7 0.7826 0.7826 0.5000
O8 0.8047 0.8047 0.0000